The following is a computed X-ray diffraction stick pattern of Be2Nb2CdRh5. It was derived from a DFT-relaxed cell (PBE, Alexandria), using Cu Kα X-rays.
No peak broadening, texture or thermal motion is included.

Atomic structure:
Lattice parameters (Å, degrees): 9.493 9.493 3.140 90.00 90.00 90.00
Space group P4/mbm (No. 127)
Inequivalent atoms, fractional coordinates:
Be 0.122 0.378 0.000 [4 per cell]
Nb 0.176 0.676 0.000 [4 per cell]
Cd 0.000 0.000 0.000 [2 per cell]
Rh 0.000 0.500 0.500 [2 per cell]
Rh 0.071 0.219 0.500 [8 per cell]

Peak list (12 most intense, 2θ from 10° to 80°, low angle first)
2θ (°), I_rel
34.1, 172
35.6, 613
39.1, 670
39.3, 372
41.6, 1000
42.6, 424
44.9, 302
58.8, 190
66.1, 153
70.2, 161
72.9, 205
77.3, 225